No. 1
The following is a theoretical XRD peak list of InAgSe2. It was derived from the GGA-PBE geometry in the Materials Project, using Cu Kα.
Kinematic intensities with the Lorentz-polarization factor, no thermal factor.

Largest 6 diffraction maxima, by angle, 5 to 70 degrees two-theta:
- 31.28 deg, d 2.859, I = 100
- 31.69 deg, d 2.824, I = 48
- 44.83 deg, d 2.022, I = 36
- 45.13 deg, d 2.009, I = 71
- 55.94 deg, d 1.644, I = 37
- 65.26 deg, d 1.430, I = 11

Cell lengths 4.044, 4.044, 5.647 Å; angles 90.00, 90.00, 90.00 degrees
Fractional coordinates of all 4 atoms:
In (0.000, 0.000, 0.000)
Ag (0.500, 0.500, 0.500)
Se (0.000, 0.000, 0.500)
Se (0.500, 0.500, 0.000)

---

No. 2
The following is a theoretical XRD peak list of InAgSnSe4. It was derived from the GGA-PBE geometry in the Materials Project, using Cu Kα.
Kinematic intensities with the Lorentz-polarization factor, no thermal factor.

Largest 6 diffraction maxima, by angle, 5 to 70 degrees two-theta:
- 26.06 deg, d 3.419, I = 100
- 42.41 deg, d 2.131, I = 26
- 43.61 deg, d 2.076, I = 47
- 50.46 deg, d 1.809, I = 30
- 52.54 deg, d 1.742, I = 13
- 69.71 deg, d 1.349, I = 13

Cell lengths 6.028, 6.028, 11.450 Å; angles 90.00, 90.00, 90.00 degrees
Fractional coordinates of all 14 atoms:
In (0.000, 0.000, 0.000)
In (0.500, 0.500, 0.500)
Ag (0.000, 0.500, 0.250)
Ag (0.500, 0.000, 0.750)
Sn (0.000, 0.500, 0.750)
Sn (0.500, 0.000, 0.250)
Se (0.223, 0.761, 0.614)
Se (0.239, 0.223, 0.386)
Se (0.261, 0.277, 0.886)
Se (0.277, 0.739, 0.114)
Se (0.723, 0.261, 0.114)
Se (0.739, 0.723, 0.886)
Se (0.761, 0.777, 0.386)
Se (0.777, 0.239, 0.614)

---

No. 3
The following is a theoretical XRD peak list of InAgTeSe. It was derived from the GGA-PBE geometry in the Materials Project, using Cu Kα.
Kinematic intensities with the Lorentz-polarization factor, no thermal factor.

Largest 6 diffraction maxima, by angle, 5 to 70 degrees two-theta:
- 24.23 deg, d 3.674, I = 100
- 39.65 deg, d 2.273, I = 27
- 40.21 deg, d 2.243, I = 25
- 40.38 deg, d 2.233, I = 25
- 46.85 deg, d 1.939, I = 16
- 47.16 deg, d 1.927, I = 16

Cell lengths 6.403, 6.457, 12.469 Å; angles 90.00, 90.00, 90.00 degrees
Fractional coordinates of all 16 atoms:
In (0.000, 0.250, 0.116)
In (0.000, 0.750, 0.384)
In (0.500, 0.250, 0.884)
In (0.500, 0.750, 0.616)
Ag (0.000, 0.250, 0.619)
Ag (0.000, 0.750, 0.881)
Ag (0.500, 0.250, 0.381)
Ag (0.500, 0.750, 0.119)
Te (0.246, 0.500, 0.750)
Te (0.254, 0.500, 0.250)
Te (0.746, 0.000, 0.250)
Te (0.754, 0.000, 0.750)
Se (0.250, 0.006, 0.000)
Se (0.250, 0.994, 0.500)
Se (0.750, 0.494, 0.000)
Se (0.750, 0.506, 0.500)

---

No. 4
The following is a theoretical XRD peak list of In5AgTe8. It was derived from the GGA-PBE geometry in the Materials Project, using Cu Kα.
Kinematic intensities with the Lorentz-polarization factor, no thermal factor.

Largest 6 diffraction maxima, by angle, 5 to 70 degrees two-theta:
- 24.05 deg, d 3.700, I = 100
- 39.94 deg, d 2.257, I = 24
- 40.07 deg, d 2.250, I = 24
- 46.51 deg, d 1.953, I = 16
- 46.75 deg, d 1.943, I = 15
- 47.81 deg, d 1.903, I = 14

Cell lengths 7.765, 7.765, 9.178 Å; angles 90.23, 90.23, 107.80 degrees
Fractional coordinates of all 14 atoms:
In (0.000, 0.000, 0.000)
In (0.001, 0.520, 0.753)
In (0.480, 0.520, 0.500)
In (0.480, 0.999, 0.247)
In (0.991, 0.009, 0.500)
Ag (0.491, 0.509, 0.000)
Te (0.337, 0.622, 0.246)
Te (0.378, 0.128, 0.519)
Te (0.378, 0.663, 0.754)
Te (0.379, 0.129, 0.986)
Te (0.839, 0.131, 0.751)
Te (0.869, 0.161, 0.249)
Te (0.871, 0.621, 0.014)
Te (0.872, 0.622, 0.481)

---

No. 5
The following is a theoretical XRD peak list of In5AgTe8. It was derived from the GGA-PBE geometry in the Materials Project, using Cu Kα.
Kinematic intensities with the Lorentz-polarization factor, no thermal factor.

Largest 6 diffraction maxima, by angle, 5 to 70 degrees two-theta:
- 24.25 deg, d 3.671, I = 100
- 40.01 deg, d 2.254, I = 48
- 40.32 deg, d 2.237, I = 24
- 47.06 deg, d 1.931, I = 14
- 47.61 deg, d 1.910, I = 28
- 63.66 deg, d 1.462, I = 11

Cell lengths 6.326, 6.326, 12.846 Å; angles 90.00, 90.00, 90.00 degrees
Fractional coordinates of all 14 atoms:
In (0.000, 0.000, 0.000)
In (0.000, 0.500, 0.255)
In (0.000, 0.500, 0.745)
In (0.500, 0.000, 0.255)
In (0.500, 0.000, 0.745)
Ag (0.500, 0.500, 0.500)
Te (0.229, 0.229, 0.613)
Te (0.229, 0.771, 0.387)
Te (0.277, 0.277, 0.112)
Te (0.277, 0.723, 0.888)
Te (0.723, 0.277, 0.888)
Te (0.723, 0.723, 0.112)
Te (0.771, 0.229, 0.387)
Te (0.771, 0.771, 0.613)

---

No. 6
The following is a theoretical XRD peak list of Zn2InAgTe4. It was derived from the GGA-PBE geometry in the Materials Project, using Cu Kα.
Kinematic intensities with the Lorentz-polarization factor, no thermal factor.

Largest 6 diffraction maxima, by angle, 5 to 70 degrees two-theta:
- 24.21 deg, d 3.676, I = 100
- 39.98 deg, d 2.255, I = 26
- 40.09 deg, d 2.249, I = 50
- 47.28 deg, d 1.922, I = 32
- 47.48 deg, d 1.915, I = 15
- 63.76 deg, d 1.460, I = 12

Cell lengths 6.379, 6.379, 12.690 Å; angles 90.00, 90.00, 90.00 degrees
Fractional coordinates of all 16 atoms:
Zn (0.000, 0.500, 0.250)
Zn (0.000, 0.500, 0.750)
Zn (0.500, 0.000, 0.250)
Zn (0.500, 0.000, 0.750)
In (0.000, 0.000, 0.000)
In (0.500, 0.500, 0.500)
Ag (0.000, 0.000, 0.500)
Ag (0.500, 0.500, 0.000)
Te (0.247, 0.247, 0.367)
Te (0.247, 0.753, 0.633)
Te (0.253, 0.253, 0.867)
Te (0.253, 0.747, 0.133)
Te (0.747, 0.253, 0.133)
Te (0.747, 0.747, 0.867)
Te (0.753, 0.247, 0.633)
Te (0.753, 0.753, 0.367)

---

No. 7
The following is a theoretical XRD peak list of La2AgIr. It was derived from the GGA-PBE geometry in the Materials Project, using Cu Kα.
Kinematic intensities with the Lorentz-polarization factor, no thermal factor.

Largest 6 diffraction maxima, by angle, 5 to 70 degrees two-theta:
- 20.82 deg, d 4.266, I = 4
- 34.33 deg, d 2.612, I = 100
- 40.49 deg, d 2.228, I = 2
- 49.33 deg, d 1.847, I = 18
- 54.10 deg, d 1.695, I = 1
- 61.48 deg, d 1.508, I = 37

Cell lengths 7.389, 7.389, 7.389 Å; angles 90.00, 90.00, 90.00 degrees
Fractional coordinates of all 16 atoms:
La (0.250, 0.250, 0.250)
La (0.250, 0.250, 0.750)
La (0.250, 0.750, 0.250)
La (0.250, 0.750, 0.750)
La (0.750, 0.250, 0.250)
La (0.750, 0.250, 0.750)
La (0.750, 0.750, 0.250)
La (0.750, 0.750, 0.750)
Ag (0.000, 0.000, 0.000)
Ag (0.000, 0.500, 0.500)
Ag (0.500, 0.000, 0.500)
Ag (0.500, 0.500, 0.000)
Ir (0.000, 0.000, 0.500)
Ir (0.000, 0.500, 0.000)
Ir (0.500, 0.000, 0.000)
Ir (0.500, 0.500, 0.500)

---

No. 8
The following is a theoretical XRD peak list of LiAg3Ir2O6. It was derived from the GGA-PBE geometry in the Materials Project, using Cu Kα.
Kinematic intensities with the Lorentz-polarization factor, no thermal factor.

Largest 6 diffraction maxima, by angle, 5 to 70 degrees two-theta:
- 19.73 deg, d 4.500, I = 19
- 27.94 deg, d 3.194, I = 49
- 34.87 deg, d 2.573, I = 100
- 38.59 deg, d 2.333, I = 55
- 51.22 deg, d 1.783, I = 38
- 59.35 deg, d 1.557, I = 24

Cell lengths 5.340, 5.340, 6.632 Å; angles 97.74, 97.74, 119.87 degrees
Fractional coordinates of all 12 atoms:
Li (0.000, 0.000, 0.000)
Ag (0.170, 0.830, 0.500)
Ag (0.500, 0.500, 0.500)
Ag (0.830, 0.170, 0.500)
Ir (0.333, 0.667, 0.000)
Ir (0.667, 0.333, 0.000)
O (0.054, 0.701, 0.164)
O (0.299, 0.946, 0.836)
O (0.409, 0.409, 0.165)
O (0.591, 0.591, 0.835)
O (0.701, 0.054, 0.164)
O (0.946, 0.299, 0.836)

---

No. 9
The following is a theoretical XRD peak list of Lu2AgIr. It was derived from the GGA-PBE geometry in the Materials Project, using Cu Kα.
Kinematic intensities with the Lorentz-polarization factor, no thermal factor.

Largest 6 diffraction maxima, by angle, 5 to 70 degrees two-theta:
- 22.34 deg, d 3.979, I = 3
- 36.89 deg, d 2.437, I = 100
- 43.55 deg, d 2.078, I = 2
- 53.16 deg, d 1.723, I = 18
- 58.36 deg, d 1.581, I = 1
- 66.46 deg, d 1.407, I = 36

Cell lengths 6.892, 6.892, 6.892 Å; angles 90.00, 90.00, 90.00 degrees
Fractional coordinates of all 16 atoms:
Lu (0.250, 0.250, 0.250)
Lu (0.250, 0.250, 0.750)
Lu (0.250, 0.750, 0.250)
Lu (0.250, 0.750, 0.750)
Lu (0.750, 0.250, 0.250)
Lu (0.750, 0.250, 0.750)
Lu (0.750, 0.750, 0.250)
Lu (0.750, 0.750, 0.750)
Ag (0.000, 0.000, 0.000)
Ag (0.000, 0.500, 0.500)
Ag (0.500, 0.000, 0.500)
Ag (0.500, 0.500, 0.000)
Ir (0.000, 0.000, 0.500)
Ir (0.000, 0.500, 0.000)
Ir (0.500, 0.000, 0.000)
Ir (0.500, 0.500, 0.500)

---

No. 10
The following is a theoretical XRD peak list of Mg2AgIr. It was derived from the GGA-PBE geometry in the Materials Project, using Cu Kα.
Kinematic intensities with the Lorentz-polarization factor, no thermal factor.

Largest 6 diffraction maxima, by angle, 5 to 70 degrees two-theta:
- 24.00 deg, d 3.708, I = 11
- 27.79 deg, d 3.211, I = 65
- 39.70 deg, d 2.270, I = 100
- 49.15 deg, d 1.854, I = 18
- 57.40 deg, d 1.605, I = 17
- 64.94 deg, d 1.436, I = 23

Cell lengths 6.422, 6.422, 6.422 Å; angles 90.00, 90.00, 90.00 degrees
Fractional coordinates of all 16 atoms:
Mg (0.250, 0.250, 0.250)
Mg (0.250, 0.250, 0.750)
Mg (0.250, 0.750, 0.250)
Mg (0.250, 0.750, 0.750)
Mg (0.750, 0.250, 0.250)
Mg (0.750, 0.250, 0.750)
Mg (0.750, 0.750, 0.250)
Mg (0.750, 0.750, 0.750)
Ag (0.000, 0.000, 0.000)
Ag (0.000, 0.500, 0.500)
Ag (0.500, 0.000, 0.500)
Ag (0.500, 0.500, 0.000)
Ir (0.000, 0.000, 0.500)
Ir (0.000, 0.500, 0.000)
Ir (0.500, 0.000, 0.000)
Ir (0.500, 0.500, 0.500)

---

No. 11
The following is a theoretical XRD peak list of Nd2AgIr. It was derived from the GGA-PBE geometry in the Materials Project, using Cu Kα.
Kinematic intensities with the Lorentz-polarization factor, no thermal factor.

Largest 6 diffraction maxima, by angle, 5 to 70 degrees two-theta:
- 21.15 deg, d 4.201, I = 4
- 34.88 deg, d 2.573, I = 100
- 41.14 deg, d 2.194, I = 2
- 50.15 deg, d 1.819, I = 18
- 55.01 deg, d 1.669, I = 1
- 62.54 deg, d 1.485, I = 36

Cell lengths 7.276, 7.276, 7.276 Å; angles 90.00, 90.00, 90.00 degrees
Fractional coordinates of all 16 atoms:
Nd (0.250, 0.250, 0.250)
Nd (0.250, 0.250, 0.750)
Nd (0.250, 0.750, 0.250)
Nd (0.250, 0.750, 0.750)
Nd (0.750, 0.250, 0.250)
Nd (0.750, 0.250, 0.750)
Nd (0.750, 0.750, 0.250)
Nd (0.750, 0.750, 0.750)
Ag (0.000, 0.000, 0.000)
Ag (0.000, 0.500, 0.500)
Ag (0.500, 0.000, 0.500)
Ag (0.500, 0.500, 0.000)
Ir (0.000, 0.000, 0.500)
Ir (0.000, 0.500, 0.000)
Ir (0.500, 0.000, 0.000)
Ir (0.500, 0.500, 0.500)

---

No. 12
The following is a theoretical XRD peak list of Ag3IrO4. It was derived from the GGA-PBE geometry in the Materials Project, using Cu Kα.
Kinematic intensities with the Lorentz-polarization factor, no thermal factor.

Largest 6 diffraction maxima, by angle, 5 to 70 degrees two-theta:
- 28.99 deg, d 3.080, I = 15
- 32.42 deg, d 2.762, I = 100
- 34.17 deg, d 2.624, I = 52
- 43.79 deg, d 2.067, I = 19
- 56.69 deg, d 1.624, I = 23
- 60.08 deg, d 1.540, I = 22

Cell lengths 7.422, 7.422, 8.269 Å; angles 90.00, 90.00, 90.00 degrees
Fractional coordinates of all 32 atoms:
Ag (0.000, 0.179, 0.000)
Ag (0.000, 0.244, 0.500)
Ag (0.000, 0.756, 0.000)
Ag (0.000, 0.821, 0.500)
Ag (0.179, 0.000, 0.750)
Ag (0.200, 0.500, 0.250)
Ag (0.244, 0.000, 0.250)
Ag (0.500, 0.200, 0.500)
Ag (0.500, 0.800, 0.000)
Ag (0.756, 0.000, 0.750)
Ag (0.800, 0.500, 0.750)
Ag (0.821, 0.000, 0.250)
Ir (0.279, 0.500, 0.750)
Ir (0.500, 0.279, 0.000)
Ir (0.500, 0.721, 0.500)
Ir (0.721, 0.500, 0.250)
O (0.089, 0.317, 0.742)
O (0.089, 0.683, 0.758)
O (0.312, 0.474, 0.987)
O (0.312, 0.526, 0.513)
O (0.317, 0.089, 0.008)
O (0.317, 0.911, 0.492)
O (0.474, 0.312, 0.763)
O (0.474, 0.688, 0.737)
O (0.526, 0.312, 0.237)
O (0.526, 0.688, 0.263)
O (0.683, 0.089, 0.992)
O (0.683, 0.911, 0.508)
O (0.688, 0.474, 0.013)
O (0.688, 0.526, 0.487)
O (0.911, 0.317, 0.258)
O (0.911, 0.683, 0.242)